[1]
For Pm2DyY3Sb6, a DFT-relaxed cell (PBE, Alexandria) gives the calculated powder X-ray diffraction pattern in this record (CuKα).
Lines closer than 0.1° are merged.

Atomic structure:
abc: 7.666 13.280 7.659
angles: 90.00 109.49 90.00
Space group C2/m (No. 12)
Symmetry-distinct sites (fractional):
Pm1 0.000 0.166 0.000 [4 per cell]
Dy1 0.000 0.500 0.000 [2 per cell]
Y1 0.000 0.000 0.500 [2 per cell]
Y2 0.000 0.332 0.500 [4 per cell]
Sb1 0.244 0.500 0.745 [4 per cell]
Sb2 0.249 0.335 0.254 [8 per cell]

Principal peaks in the range 5° ≤ 2θ ≤ 70°, in order of falling intensity:
| h k l | 2θ (°) | intensity |
| --- | --- | --- |
| 1 3 1 | 28.53 | 100 |
| 2 0 2 | 40.79 | 76 |
| 4 6 0 | 66.87 | 34 |
| 4 0 0 | 50.53 | 27 |
| 2 6 2 | 59.05 | 12 |
| 0 0 1 | 12.26 | 3 |
| 1 3 0 | 23.57 | 3 |
| 2 0 1 | 31.15 | 2 |
| 0 6 3 | 56.49 | 1 |
| 0 0 3 | 37.36 | 1 |

[2]
For Pm2Dy3Sc, a DFT-relaxed cell (PBE, Alexandria) gives the calculated powder X-ray diffraction pattern in this record (CuKα).
Lines closer than 0.1° are merged.

Atomic structure:
abc: 6.109 7.888 8.657
angles: 111.42 90.19 104.80
Space group P-1 (No. 2)
Symmetry-distinct sites (fractional):
Pm1 0.048 0.379 0.296 [2 per cell]
Pm2 0.296 0.625 0.042 [2 per cell]
Dy1 0.124 0.123 0.872 [2 per cell]
Dy2 0.209 0.878 0.459 [2 per cell]
Dy3 0.460 0.131 0.213 [2 per cell]
Sc1 0.375 0.373 0.621 [2 per cell]

Principal peaks in the range 5° ≤ 2θ ≤ 70°, in order of falling intensity:
| h k l | 2θ (°) | intensity |
| --- | --- | --- |
| 2 -1 1 | 31.03 | 100 |
| 2 0 -2 | 35.98 | 50 |
| 1 -4 5 | 61.61 | 24 |
| 1 3 -4 | 51.74 | 18 |
| 3 -3 0 | 51.85 | 18 |
| 3 -4 3 | 61.71 | 10 |
| 3 2 -3 | 61.48 | 7 |
| 2 4 -2 | 64.60 | 6 |
| 4 -2 2 | 64.75 | 6 |
| 0 1 0 | 12.54 | 3 |

[3]
For Pm5Dy4Sc, a DFT-relaxed cell (PBE, Alexandria) gives the calculated powder X-ray diffraction pattern in this record (CuKα).
Lines closer than 0.1° are merged.

Atomic structure:
abc: 16.866 3.549 11.436
angles: 90.00 108.60 90.00
Space group C2/m (No. 12)
Symmetry-distinct sites (fractional):
Pm1 0.000 0.000 0.000 [2 per cell]
Pm2 0.185 0.500 0.574 [4 per cell]
Pm3 0.211 0.500 0.116 [4 per cell]
Dy1 0.082 0.500 0.787 [4 per cell]
Dy2 0.104 0.000 0.298 [4 per cell]
Sc1 0.000 0.000 0.500 [2 per cell]

Principal peaks in the range 5° ≤ 2θ ≤ 70°, in order of falling intensity:
| h k l | 2θ (°) | intensity |
| --- | --- | --- |
| 4 0 2 | 31.80 | 100 |
| 2 0 -4 | 31.29 | 72 |
| 6 0 -2 | 32.37 | 65 |
| 3 1 -1 | 29.91 | 46 |
| 1 1 2 | 31.60 | 36 |
| 1 1 3 | 37.17 | 29 |
| 3 1 1 | 32.81 | 29 |
| 3 1 0 | 30.25 | 28 |
| 2 2 -4 | 61.51 | 21 |
| 6 2 -2 | 62.16 | 20 |

[4]
For Pm2DySc3, a DFT-relaxed cell (PBE, Alexandria) gives the calculated powder X-ray diffraction pattern in this record (CuKα).
Lines closer than 0.1° are merged.

Atomic structure:
abc: 9.807 11.050 6.976
angles: 90.00 112.64 90.00
Space group C2/c (No. 15)
Symmetry-distinct sites (fractional):
Pm1 0.174 0.234 0.236 [8 per cell]
Dy1 0.000 0.500 0.000 [4 per cell]
Sc1 0.000 0.211 0.750 [4 per cell]
Sc2 0.165 0.015 0.528 [8 per cell]

Principal peaks in the range 5° ≤ 2θ ≤ 70°, in order of falling intensity:
| h k l | 2θ (°) | intensity |
| --- | --- | --- |
| 0 2 2 | 32.18 | 100 |
| 3 1 -1 | 28.58 | 45 |
| 0 4 0 | 32.41 | 44 |
| 2 2 0 | 25.44 | 33 |
| 3 1 0 | 30.72 | 25 |
| 2 0 -2 | 27.12 | 23 |
| 3 1 1 | 38.38 | 22 |
| 3 3 -1 | 36.85 | 21 |
| 1 1 0 | 12.64 | 21 |
| 1 3 0 | 26.12 | 18 |

[5]
For Pm6DySc2, a DFT-relaxed cell (PBE, Alexandria) gives the calculated powder X-ray diffraction pattern in this record (CuKα).
Lines closer than 0.1° are merged.

Atomic structure:
abc: 8.663 3.530 9.595
angles: 90.00 102.42 90.00
Space group P2/m (No. 10)
Symmetry-distinct sites (fractional):
Pm1 0.018 0.000 0.184 [2 per cell]
Pm2 0.317 0.500 0.023 [2 per cell]
Pm3 0.346 0.500 0.383 [2 per cell]
Dy1 0.000 0.500 0.500 [1 per cell]
Sc1 0.340 0.000 0.706 [2 per cell]

Principal peaks in the range 5° ≤ 2θ ≤ 70°, in order of falling intensity:
| h k l | 2θ (°) | intensity |
| --- | --- | --- |
| 3 0 0 | 31.74 | 100 |
| 2 1 -1 | 33.10 | 37 |
| 1 0 3 | 32.63 | 28 |
| 3 2 0 | 62.03 | 20 |
| 1 1 1 | 29.77 | 19 |
| 3 1 2 | 48.53 | 16 |
| 1 1 0 | 27.37 | 11 |
| 0 2 0 | 51.79 | 9 |
| 0 1 3 | 38.48 | 9 |
| 1 2 3 | 62.57 | 9 |

[6]
For Pm3DySc7, a DFT-relaxed cell (PBE, Alexandria) gives the calculated powder X-ray diffraction pattern in this record (CuKα).
Lines closer than 0.1° are merged.

Atomic structure:
abc: 12.112 10.511 5.500
angles: 90.00 116.93 90.00
Space group C2/m (No. 12)
Symmetry-distinct sites (fractional):
Pm1 0.000 0.000 0.000 [2 per cell]
Pm2 0.000 0.215 0.500 [4 per cell]
Dy1 0.000 0.500 0.000 [2 per cell]
Sc1 0.000 0.500 0.500 [2 per cell]
Sc2 0.208 0.000 0.707 [4 per cell]
Sc3 0.219 0.190 0.219 [8 per cell]

Principal peaks in the range 5° ≤ 2θ ≤ 70°, in order of falling intensity:
| h k l | 2θ (°) | intensity |
| --- | --- | --- |
| 0 2 1 | 24.84 | 100 |
| 2 2 1 | 34.32 | 85 |
| 2 0 -2 | 32.56 | 46 |
| 2 0 0 | 16.42 | 45 |
| 1 3 1 | 34.60 | 36 |
| 4 0 0 | 33.19 | 35 |
| 2 0 2 | 47.18 | 25 |
| 0 4 0 | 34.12 | 20 |
| 0 2 3 | 59.23 | 17 |
| 6 2 1 | 65.28 | 16 |